Entry 1:
Structure and theoretical PXRD pattern of Li2YRu (a structure optimized by DFT (GGA-PBE); a wavelength of 1.5418 Å).
No peak broadening, texture or thermal motion is included.

a = 2.8757 Å, b = 4.4533 Å, c = 5.5455 Å
α = 90.00°, β = 90.00°, γ = 90.00°
Fractional coordinates of all 4 atoms:
Li (0.0000, 0.0000, 0.2012)
Li (0.0000, 0.0000, 0.7988)
Y (0.5000, 0.5000, 0.5000)
Ru (0.5000, 0.5000, 0.0000)

The 8 most intense peaks (10 to 90 degrees two-theta), in order of rising 2θ:
2θ = 19.9°, I = 100; 2θ = 31.1°, I = 33; 2θ = 32.3°, I = 30; 2θ = 37.2°, I = 49; 2θ = 38.2°, I = 45; 2θ = 45.4°, I = 27; 2θ = 50.1°, I = 34; 2θ = 62.5°, I = 25

=====

Entry 2:
Structure and theoretical PXRD pattern of Li4YRu (a structure optimized by DFT (GGA-PBE); a wavelength of 1.5418 Å).
No peak broadening, texture or thermal motion is included.

a = 5.1829 Å, b = 5.1829 Å, c = 5.1829 Å
α = 60.00°, β = 60.00°, γ = 60.00°
Fractional coordinates of all 6 atoms:
Li (0.1211, 0.1211, 0.1211)
Li (0.1211, 0.1211, 0.6368)
Li (0.1211, 0.6368, 0.1211)
Li (0.6368, 0.1211, 0.1211)
Y (0.5000, 0.5000, 0.5000)
Ru (0.7500, 0.7500, 0.7500)

The 8 most intense peaks (10 to 90 degrees two-theta), in order of rising 2θ:
2θ = 21.0°, I = 100; 2θ = 34.6°, I = 96; 2θ = 40.8°, I = 70; 2θ = 54.6°, I = 22; 2θ = 62.0°, I = 34; 2θ = 66.3°, I = 21; 2θ = 77.0°, I = 15; 2θ = 83.4°, I = 14

=====

Entry 3:
Structure and theoretical PXRD pattern of Li23Zn6Ru (a structure optimized by DFT (GGA-PBE); a wavelength of 1.5418 Å).
No peak broadening, texture or thermal motion is included.

a = 8.9602 Å, b = 8.9602 Å, c = 8.9602 Å
α = 60.00°, β = 60.00°, γ = 60.00°
Fractional coordinates of all 30 atoms:
Li (0.0000, 0.0000, 0.0000)
Li (0.0000, 0.0000, 0.5000)
Li (0.0000, 0.5000, 0.0000)
Li (0.0000, 0.5000, 0.5000)
Li (0.1234, 0.1234, 0.1234)
Li (0.1234, 0.1234, 0.6299)
Li (0.1234, 0.6299, 0.1234)
Li (0.1349, 0.6217, 0.6217)
Li (0.3701, 0.8766, 0.8766)
Li (0.3783, 0.3783, 0.3783)
Li (0.3783, 0.3783, 0.8651)
Li (0.3783, 0.8651, 0.3783)
Li (0.5000, 0.0000, 0.0000)
Li (0.5000, 0.0000, 0.5000)
Li (0.5000, 0.5000, 0.0000)
Li (0.6217, 0.1349, 0.6217)
Li (0.6217, 0.6217, 0.1349)
Li (0.6217, 0.6217, 0.6217)
Li (0.6299, 0.1234, 0.1234)
Li (0.8651, 0.3783, 0.3783)
Li (0.8766, 0.3701, 0.8766)
Li (0.8766, 0.8766, 0.3701)
Li (0.8766, 0.8766, 0.8766)
Zn (0.2626, 0.2626, 0.7374)
Zn (0.2626, 0.7374, 0.2626)
Zn (0.2626, 0.7374, 0.7374)
Zn (0.7374, 0.2626, 0.2626)
Zn (0.7374, 0.2626, 0.7374)
Zn (0.7374, 0.7374, 0.2626)
Ru (0.5000, 0.5000, 0.5000)

The 8 most intense peaks (10 to 90 degrees two-theta), in order of rising 2θ:
2θ = 12.1°, I = 53; 2θ = 14.0°, I = 100; 2θ = 24.3°, I = 48; 2θ = 28.2°, I = 72; 2θ = 31.6°, I = 51; 2θ = 40.3°, I = 96; 2θ = 42.8°, I = 27; 2θ = 73.2°, I = 28

=====

Entry 4:
Structure and theoretical PXRD pattern of LiZn2Ru (a structure optimized by DFT (GGA-PBE); a wavelength of 1.5418 Å).
No peak broadening, texture or thermal motion is included.

a = 2.8193 Å, b = 4.5117 Å, c = 8.9999 Å
α = 90.00°, β = 90.00°, γ = 90.00°
Fractional coordinates of all 8 atoms:
Li (0.0000, 0.0000, 0.0000)
Li (0.5000, 0.5000, 0.0000)
Zn (0.0000, 0.0000, 0.4882)
Zn (0.0000, 0.5000, 0.7471)
Zn (0.5000, 0.0000, 0.7471)
Zn (0.5000, 0.5000, 0.4882)
Ru (0.0000, 0.5000, 0.2443)
Ru (0.5000, 0.0000, 0.2443)

The 8 most intense peaks (10 to 90 degrees two-theta), in order of rising 2θ:
2θ = 19.7°, I = 30; 2θ = 40.0°, I = 31; 2θ = 40.1°, I = 30; 2θ = 42.8°, I = 100; 2θ = 57.9°, I = 20; 2θ = 74.6°, I = 18; 2θ = 74.7°, I = 18; 2θ = 80.3°, I = 15

=====

Entry 5:
Structure and theoretical PXRD pattern of Li2Zn6Ru (a structure optimized by DFT (GGA-PBE); a wavelength of 1.5418 Å).
No peak broadening, texture or thermal motion is included.

a = 4.2892 Å, b = 4.2892 Å, c = 8.0276 Å
α = 90.10°, β = 90.10°, γ = 59.95°
Fractional coordinates of all 9 atoms:
Li (0.1670, 0.1670, 0.2106)
Li (0.8330, 0.8330, 0.7894)
Zn (0.1666, 0.1666, 0.5535)
Zn (0.1665, 0.1665, 0.8920)
Zn (0.5003, 0.5003, 0.3245)
Zn (0.4997, 0.4997, 0.6755)
Zn (0.8335, 0.8335, 0.1080)
Zn (0.8334, 0.8334, 0.4465)
Ru (0.5000, 0.5000, 0.0000)

The 8 most intense peaks (10 to 90 degrees two-theta), in order of rising 2θ:
2θ = 24.0°, I = 14; 2θ = 26.4°, I = 33; 2θ = 41.6°, I = 100; 2θ = 42.1°, I = 94; 2θ = 60.8°, I = 20; 2θ = 75.5°, I = 15; 2θ = 76.7°, I = 20; 2θ = 77.0°, I = 14

=====

Entry 6:
Structure and theoretical PXRD pattern of Li2Zn7Ru2 (a structure optimized by DFT (GGA-PBE); a wavelength of 1.5418 Å).
No peak broadening, texture or thermal motion is included.

a = 5.1753 Å, b = 5.1969 Å, c = 6.6878 Å
α = 97.03°, β = 91.43°, γ = 111.33°
Fractional coordinates of all 11 atoms:
Li (0.1400, 0.3941, 0.2156)
Li (0.8600, 0.6059, 0.7844)
Zn (0.0000, 0.0000, 0.5000)
Zn (0.1374, 0.8930, 0.1367)
Zn (0.3536, 0.5875, 0.8670)
Zn (0.4429, 0.7451, 0.5205)
Zn (0.5571, 0.2549, 0.4795)
Zn (0.6464, 0.4125, 0.1330)
Zn (0.8626, 0.1070, 0.8633)
Ru (0.3516, 0.0842, 0.8115)
Ru (0.6484, 0.9158, 0.1885)

The 8 most intense peaks (10 to 90 degrees two-theta), in order of rising 2θ:
2θ = 18.5°, I = 76; 2θ = 37.7°, I = 16; 2θ = 39.2°, I = 18; 2θ = 40.9°, I = 100; 2θ = 41.9°, I = 34; 2θ = 42.3°, I = 42; 2θ = 43.4°, I = 30; 2θ = 44.9°, I = 37